[1]
Calculated powder XRD pattern of Ac2PaTc2N6 for Cu Ka, from a PBE-relaxed structure.

Structural model:
Unit cell a=6.997 b=6.997 c=6.997 alpha=49.43 beta=49.43 gamma=49.43
Sites, in units of the cell vectors:
Ac 0.212 0.212 0.212
Ac 0.788 0.788 0.788
Pa 0.000 0.000 0.000
Tc 0.397 0.397 0.397
Tc 0.603 0.603 0.603
N 0.228 0.750 0.750
N 0.250 0.250 0.772
N 0.250 0.772 0.250
N 0.750 0.228 0.750
N 0.750 0.750 0.228
N 0.772 0.250 0.250

Main lines, sorted by position (2θ from 5° to 70°):
18.16 deg, 4.885 Å, I 13.7
26.18 deg, 3.404 Å, I 15.9
30.03 deg, 2.976 Å, I 100.0
30.56 deg, 2.926 Å, I 99.7
40.66 deg, 2.219 Å, I 9.9
43.37 deg, 2.086 Å, I 39.9
52.99 deg, 1.728 Å, I 17.7
53.98 deg, 1.699 Å, I 40.9
54.31 deg, 1.689 Å, I 20.5
54.82 deg, 1.675 Å, I 9.7
62.41 deg, 1.488 Å, I 8.9
63.61 deg, 1.463 Å, I 15.3

***

[2]
Calculated powder XRD pattern of K6Na14MgTl18 for Cu Ka, from a PBE-relaxed structure.

Structural model:
Unit cell a=10.745 b=10.745 c=10.745 alpha=90.00 beta=90.00 gamma=90.00
Sites, in units of the cell vectors:
K 0.000 0.311 0.500
K 0.000 0.689 0.500
K 0.311 0.500 0.000
K 0.500 0.000 0.311
K 0.500 0.000 0.689
K 0.689 0.500 0.000
Na 0.000 0.500 0.169
Na 0.000 0.500 0.831
Na 0.169 0.000 0.500
Na 0.219 0.219 0.219
Na 0.219 0.219 0.781
Na 0.219 0.781 0.219
Na 0.219 0.781 0.781
Na 0.500 0.169 0.000
Na 0.500 0.831 0.000
Na 0.781 0.219 0.219
Na 0.781 0.219 0.781
Na 0.781 0.781 0.219
Na 0.781 0.781 0.781
Na 0.831 0.000 0.500
Mg 0.500 0.500 0.500
Tl 0.000 0.000 0.223
Tl 0.000 0.000 0.777
Tl 0.000 0.223 0.000
Tl 0.000 0.777 0.000
Tl 0.223 0.000 0.000
Tl 0.245 0.500 0.345
Tl 0.245 0.500 0.655
Tl 0.345 0.245 0.500
Tl 0.345 0.755 0.500
Tl 0.500 0.345 0.245
Tl 0.500 0.345 0.755
Tl 0.500 0.655 0.245
Tl 0.500 0.655 0.755
Tl 0.655 0.245 0.500
Tl 0.655 0.755 0.500
Tl 0.755 0.500 0.345
Tl 0.755 0.500 0.655
Tl 0.777 0.000 0.000

Main lines, sorted by position (2θ from 5° to 70°):
11.65 deg, 7.598 Å, I 90.1
18.46 deg, 4.805 Å, I 32.6
20.24 deg, 4.387 Å, I 26.0
23.42 deg, 3.799 Å, I 26.5
29.98 deg, 2.980 Å, I 44.5
31.14 deg, 2.872 Å, I 37.4
33.35 deg, 2.686 Å, I 35.6
34.41 deg, 2.606 Å, I 100.0
35.44 deg, 2.533 Å, I 23.0
37.43 deg, 2.403 Å, I 30.6
38.39 deg, 2.345 Å, I 21.7
54.70 deg, 1.678 Å, I 28.0

***

[3]
Calculated powder XRD pattern of KPaRhN3 for Cu Ka, from a PBE-relaxed structure.

Structural model:
Unit cell a=7.644 b=3.610 c=9.185 alpha=90.00 beta=107.48 gamma=90.00
Sites, in units of the cell vectors:
K 0.187 0.250 0.179
K 0.813 0.750 0.821
Pa 0.334 0.750 0.854
Pa 0.666 0.250 0.146
Rh 0.039 0.250 0.609
Rh 0.961 0.750 0.391
N 0.146 0.250 0.844
N 0.152 0.750 0.600
N 0.468 0.750 0.110
N 0.532 0.250 0.890
N 0.848 0.250 0.400
N 0.854 0.750 0.156

Main lines, sorted by position (2θ from 5° to 70°):
10.10 deg, 8.761 Å, I 11.8
13.26 deg, 6.676 Å, I 100.0
26.71 deg, 3.338 Å, I 35.6
29.22 deg, 3.056 Å, I 12.0
30.68 deg, 2.914 Å, I 24.3
32.13 deg, 2.786 Å, I 25.9
34.29 deg, 2.615 Å, I 19.3
34.98 deg, 2.565 Å, I 16.6
36.45 deg, 2.465 Å, I 9.6
38.68 deg, 2.328 Å, I 11.9
44.54 deg, 2.034 Å, I 9.6
48.62 deg, 1.873 Å, I 10.7

***

[4]
Calculated powder XRD pattern of Ce6Os2N for Cu Ka, from a PBE-relaxed structure.

Structural model:
Unit cell a=6.266 b=7.107 c=11.403 alpha=90.00 beta=122.11 gamma=90.00
Sites, in units of the cell vectors:
Ce 0.110 0.043 0.243
Ce 0.110 0.457 0.743
Ce 0.218 0.686 0.061
Ce 0.218 0.814 0.561
Ce 0.386 0.164 0.058
Ce 0.386 0.336 0.558
Ce 0.614 0.664 0.442
Ce 0.614 0.836 0.942
Ce 0.782 0.186 0.439
Ce 0.782 0.314 0.939
Ce 0.890 0.543 0.257
Ce 0.890 0.957 0.757
Os 0.311 0.117 0.751
Os 0.311 0.383 0.251
Os 0.689 0.617 0.749
Os 0.689 0.883 0.249
N 0.000 0.000 0.000
N 0.000 0.500 0.500

Main lines, sorted by position (2θ from 5° to 70°):
30.96 deg, 2.889 Å, I 36.0
31.24 deg, 2.863 Å, I 100.0
32.41 deg, 2.763 Å, I 67.0
32.76 deg, 2.733 Å, I 76.1
33.49 deg, 2.676 Å, I 55.8
34.00 deg, 2.637 Å, I 61.8
34.28 deg, 2.616 Å, I 62.3
34.62 deg, 2.591 Å, I 55.8
37.24 deg, 2.415 Å, I 42.4
37.70 deg, 2.386 Å, I 66.5
40.72 deg, 2.216 Å, I 53.7
41.76 deg, 2.163 Å, I 44.8

***

[5]
Calculated powder XRD pattern of MgTe2HSe for Cu Ka, from a PBE-relaxed structure.

Structural model:
Unit cell a=5.523 b=5.523 c=5.069 alpha=90.00 beta=90.00 gamma=90.00
Sites, in units of the cell vectors:
Mg 0.000 0.000 0.000
Te 0.000 0.500 0.000
Te 0.500 0.000 0.000
H 0.500 0.500 0.500
Se 0.000 0.000 0.500

Main lines, sorted by position (2θ from 5° to 70°):
16.05 deg, 5.523 Å, I 25.0
17.50 deg, 5.069 Å, I 34.0
22.77 deg, 3.905 Å, I 19.2
28.86 deg, 3.094 Å, I 100.0
32.42 deg, 2.761 Å, I 50.4
35.42 deg, 2.534 Å, I 19.8
37.07 deg, 2.425 Å, I 20.5
46.51 deg, 1.953 Å, I 18.1
48.77 deg, 1.867 Å, I 31.5
55.66 deg, 1.651 Å, I 31.0
59.63 deg, 1.551 Å, I 12.5
59.79 deg, 1.547 Å, I 16.9

***

[6]
Calculated powder XRD pattern of CoHg2Au for Cu Ka, from a PBE-relaxed structure.

Structural model:
Unit cell a=5.650 b=5.650 c=5.650 alpha=149.04 beta=125.91 gamma=63.64
Sites, in units of the cell vectors:
Co 0.000 0.000 0.000
Hg 0.230 0.730 0.500
Hg 0.770 0.270 0.500
Au 0.500 0.500 0.000

Main lines, sorted by position (2θ from 5° to 70°):
18.48 deg, 4.801 Å, I 6.0
31.08 deg, 2.877 Å, I 7.6
32.97 deg, 2.717 Å, I 15.2
34.92 deg, 2.569 Å, I 36.0
37.46 deg, 2.401 Å, I 25.6
39.40 deg, 2.287 Å, I 100.0
52.15 deg, 1.754 Å, I 19.9
56.84 deg, 1.620 Å, I 5.8
61.49 deg, 1.508 Å, I 7.1
65.63 deg, 1.422 Å, I 22.5
68.47 deg, 1.370 Å, I 6.7
68.89 deg, 1.363 Å, I 14.2

***

[7]
Calculated powder XRD pattern of TcAsIO2 for Cu Ka, from a PBE-relaxed structure.

Structural model:
Unit cell a=3.866 b=3.866 c=6.145 alpha=90.00 beta=90.00 gamma=90.00
Sites, in units of the cell vectors:
Tc 0.000 0.000 0.000
As 0.500 0.500 0.500
I 0.000 0.000 0.500
O 0.000 0.500 0.000
O 0.500 0.000 0.000

Main lines, sorted by position (2θ from 5° to 70°):
14.42 deg, 6.145 Å, I 19.4
23.00 deg, 3.866 Å, I 70.0
29.06 deg, 3.072 Å, I 100.0
32.76 deg, 2.734 Å, I 92.1
35.96 deg, 2.498 Å, I 35.9
37.39 deg, 2.405 Å, I 38.8
44.36 deg, 2.042 Å, I 80.2
47.01 deg, 1.933 Å, I 50.6
52.96 deg, 1.729 Å, I 14.0
56.22 deg, 1.636 Å, I 58.0
61.55 deg, 1.507 Å, I 17.6
68.67 deg, 1.367 Å, I 15.5

***

[8]
Calculated powder XRD pattern of LiTeAu2Br for Cu Ka, from a PBE-relaxed structure.

Structural model:
Unit cell a=5.102 b=5.102 c=4.387 alpha=90.00 beta=90.00 gamma=90.00
Sites, in units of the cell vectors:
Li 0.000 0.000 0.000
Te 0.500 0.500 0.500
Au 0.000 0.500 0.000
Au 0.500 0.000 0.000
Br 0.000 0.000 0.500

Main lines, sorted by position (2θ from 5° to 70°):
20.24 deg, 4.387 Å, I 7.7
24.68 deg, 3.608 Å, I 8.8
32.12 deg, 2.787 Å, I 100.0
35.18 deg, 2.551 Å, I 40.7
40.92 deg, 2.205 Å, I 5.7
41.15 deg, 2.193 Å, I 13.2
48.57 deg, 1.874 Å, I 3.2
50.60 deg, 1.804 Å, I 14.5
55.23 deg, 1.663 Å, I 22.4
61.21 deg, 1.514 Å, I 31.8
67.19 deg, 1.393 Å, I 12.5
69.34 deg, 1.355 Å, I 11.0

***

[9]
Calculated powder XRD pattern of LaMg6Ni for Cu Ka, from a PBE-relaxed structure.

Structural model:
Unit cell a=4.927 b=7.188 c=7.188 alpha=47.93 beta=90.00 gamma=90.00
Sites, in units of the cell vectors:
La 0.000 0.000 0.000
Mg 0.000 0.495 0.995
Mg 0.000 0.995 0.495
Mg 0.500 0.136 0.623
Mg 0.500 0.162 0.162
Mg 0.500 0.585 0.585
Mg 0.500 0.623 0.136
Ni 0.000 0.417 0.417

Main lines, sorted by position (2θ from 5° to 70°):
13.48 deg, 6.569 Å, I 78.3
16.61 deg, 5.336 Å, I 36.5
18.00 deg, 4.927 Å, I 51.1
22.56 deg, 3.941 Å, I 40.6
24.59 deg, 3.620 Å, I 37.3
31.33 deg, 2.855 Å, I 78.3
32.77 deg, 2.733 Å, I 61.5
33.59 deg, 2.668 Å, I 48.1
36.47 deg, 2.463 Å, I 49.5
37.54 deg, 2.396 Å, I 37.1
38.37 deg, 2.346 Å, I 100.0
41.93 deg, 2.155 Å, I 31.7

***

Copy entry 5 word for word.
Calculated powder XRD pattern of MgTe2HSe for Cu Ka, from a PBE-relaxed structure.

Structural model:
Unit cell a=5.523 b=5.523 c=5.069 alpha=90.00 beta=90.00 gamma=90.00
Sites, in units of the cell vectors:
Mg 0.000 0.000 0.000
Te 0.000 0.500 0.000
Te 0.500 0.000 0.000
H 0.500 0.500 0.500
Se 0.000 0.000 0.500

Main lines, sorted by position (2θ from 5° to 70°):
16.05 deg, 5.523 Å, I 25.0
17.50 deg, 5.069 Å, I 34.0
22.77 deg, 3.905 Å, I 19.2
28.86 deg, 3.094 Å, I 100.0
32.42 deg, 2.761 Å, I 50.4
35.42 deg, 2.534 Å, I 19.8
37.07 deg, 2.425 Å, I 20.5
46.51 deg, 1.953 Å, I 18.1
48.77 deg, 1.867 Å, I 31.5
55.66 deg, 1.651 Å, I 31.0
59.63 deg, 1.551 Å, I 12.5
59.79 deg, 1.547 Å, I 16.9